1.
Starting from the GGA-PBE geometry in Alexandria, the X-ray diffraction stick pattern of Li2CrAg was simulated for Cu Ka.
Intensities are scaled so that the largest is 100.

Cell and atoms:
abc: 2.956 4.076 5.681
angles: 90.00 90.00 90.00
Space group Pmm2 (No. 25)
Inequivalent atoms, fractional coordinates:
Li1 0.000 0.000 0.000 [1 per cell]
Li2 0.500 0.500 0.259 [1 per cell]
Cr1 0.500 0.500 0.743 [1 per cell]
Ag1 0.000 0.000 0.504 [1 per cell]

Top 10 peaks for 5° ≤ 2θ ≤ 70°, most intense first:
| Position (°2θ) | I (rel.) | index |
| --- | --- | --- |
| 15.60 | 100 | 0 0 1 |
| 26.92 | 49 | 0 1 1 |
| 37.59 | 47 | 1 1 0 |
| 38.63 | 43 | 0 1 2 |
| 40.93 | 35 | 1 1 1 |
| 44.22 | 29 | 1 0 2 |
| 34.20 | 26 | 1 0 1 |
| 64.51 | 17 | 1 2 2 |
| 44.46 | 14 | 0 2 0 |
| 47.40 | 11 | 0 2 1 |



2.
Starting from the GGA-PBE geometry in Alexandria, the X-ray diffraction stick pattern of LiCr2Ag was simulated for Cu Ka.
Intensities are scaled so that the largest is 100.

Cell and atoms:
abc: 9.042 3.007 4.820
angles: 90.00 109.18 90.00
Space group Cm (No. 8)
Inequivalent atoms, fractional coordinates:
Li1 0.000 0.000 0.000 [2 per cell]
Cr1 0.265 0.500 0.371 [2 per cell]
Cr2 0.491 0.000 0.484 [2 per cell]
Ag1 0.254 0.000 0.862 [2 per cell]

Top 10 peaks for 5° ≤ 2θ ≤ 70°, most intense first:
| Position (°2θ) | I (rel.) | index |
| --- | --- | --- |
| 39.22 | 100 | 1 1 1 |
| 43.55 | 81 | 3 1 -1 |
| 20.80 | 72 | 2 0 0 |
| 35.42 | 51 | 1 1 -1 |
| 42.33 | 45 | 4 0 0 |
| 23.42 | 44 | 2 0 -1 |
| 38.21 | 43 | 2 0 -2 |
| 39.60 | 36 | 0 0 2 |
| 31.55 | 25 | 1 1 0 |
| 52.83 | 20 | 3 1 1 |



3.
Starting from the GGA-PBE geometry in Alexandria, the X-ray diffraction stick pattern of LiCr2Ag was simulated for Cu Ka.
Intensities are scaled so that the largest is 100.

Cell and atoms:
abc: 2.901 4.523 8.714
angles: 90.00 90.00 90.00
Space group Cmm2 (No. 35)
Inequivalent atoms, fractional coordinates:
Li1 0.000 0.000 0.000 [2 per cell]
Cr1 0.000 0.000 0.455 [2 per cell]
Cr2 0.000 0.500 0.266 [2 per cell]
Ag1 0.000 0.500 0.735 [2 per cell]

Top 10 peaks for 5° ≤ 2θ ≤ 70°, most intense first:
| Position (°2θ) | I (rel.) | index |
| --- | --- | --- |
| 42.44 | 100 | 1 1 2 |
| 10.15 | 98 | 0 0 1 |
| 20.38 | 48 | 0 0 2 |
| 39.86 | 32 | 0 2 0 |
| 41.45 | 22 | 0 0 4 |
| 36.81 | 19 | 1 1 0 |
| 38.28 | 18 | 1 1 1 |
| 56.62 | 14 | 1 1 4 |
| 58.86 | 14 | 0 2 4 |
| 30.78 | 13 | 0 0 3 |



4.
Starting from the GGA-PBE geometry in Alexandria, the X-ray diffraction stick pattern of LiCrAg2 was simulated for Cu Ka.
Intensities are scaled so that the largest is 100.

Cell and atoms:
abc: 4.632 4.632 3.135
angles: 90.00 90.00 90.00
Space group P4/mmm (No. 123)
Inequivalent atoms, fractional coordinates:
Li1 0.000 0.000 0.000 [1 per cell]
Cr1 0.500 0.500 0.000 [1 per cell]
Ag1 0.000 0.500 0.500 [2 per cell]

Top 10 peaks for 5° ≤ 2θ ≤ 70°, most intense first:
| Position (°2θ) | I (rel.) | index |
| --- | --- | --- |
| 39.80 | 100 | 1 1 1 |
| 38.88 | 54 | 2 0 0 |
| 27.22 | 48 | 1 1 0 |
| 28.47 | 21 | 0 0 1 |
| 48.89 | 19 | 2 0 1 |
| 56.16 | 17 | 2 2 0 |
| 19.16 | 10 | 1 0 0 |
| 63.51 | 8 | 3 1 0 |
| 64.15 | 8 | 2 2 1 |
| 58.92 | 7 | 0 0 2 |